HfTe4Br2Cl4: simulated XRD peak list (Cu Kα, 1.54184 Å), based on a GGA-PBE-relaxed structure.
Neutral-atom scattering factors, no anomalous dispersion.

Peak list (12 most intense, 2θ from 10° to 90°, by intensity)
2θ = 16.24°, intensity 100.0, (1 0 1); 2θ = 14.95°, intensity 32.7, (1 1 0); 2θ = 33.68°, intensity 30.1, (0 2 -1); 2θ = 14.48°, intensity 26.7, (0 1 1); 2θ = 36.77°, intensity 22.9, (0 2 3); 2θ = 31.60°, intensity 22.3, (0 1 -2); 2θ = 21.30°, intensity 20.8, (1 1 2); 2θ = 27.30°, intensity 20.6, (2 1 2); 2θ = 31.11°, intensity 19.2, (2 0 -1); 2θ = 34.43°, intensity 18.0, (2 -1 0); 2θ = 23.19°, intensity 16.1, (1 1 -1); 2θ = 40.47°, intensity 15.6, (3 0 0)

Structural model:
Lattice parameters (Å, degrees): 7.718 7.959 8.532 62.44 69.37 61.54
Space group P-1 (No. 2)
Asymmetric unit:
Hf (0.000, 0.000, 0.000) [1 per cell]
Te (0.307, 0.426, 0.709) [2 per cell]
Te (0.386, 0.771, 0.505) [2 per cell]
Br (0.041, 0.165, 0.189) [2 per cell]
Cl (0.125, 0.662, 0.222) [2 per cell]
Cl (0.347, 0.958, 0.842) [2 per cell]

Hg6S4IBr2Cl: simulated XRD peak list (Cu Kα, 1.54184 Å), based on a GGA-PBE-relaxed structure.
Neutral-atom scattering factors, no anomalous dispersion.

Peak list (12 most intense, 2θ from 10° to 90°, by intensity)
2θ = 28.26°, intensity 100.0, (3 2 1); 2θ = 32.91°, intensity 52.0, (0 2 4); 2θ = 28.60°, intensity 51.5, (3 0 3); 2θ = 32.78°, intensity 47.3, (4 2 0); 2θ = 37.42°, intensity 40.5, (0 4 0); 2θ = 20.77°, intensity 36.5, (1 2 1); 2θ = 38.44°, intensity 28.9, (4 0 4); 2θ = 47.77°, intensity 25.6, (3 4 3); 2θ = 17.58°, intensity 24.9, (2 1 1); 2θ = 33.84°, intensity 22.4, (4 0 3); 2θ = 13.20°, intensity 21.5, (1 1 1); 2θ = 54.73°, intensity 20.6, (4 4 4)

Structural model:
Lattice parameters (Å, degrees): 13.285 9.613 13.208 90.00 90.00 90.00
Space group Pnma (No. 62)
Asymmetric unit:
Hg (0.025, 0.250, 0.200) [4 per cell]
Hg (0.118, 0.014, 0.653) [8 per cell]
Hg (0.154, 0.509, 0.379) [8 per cell]
Hg (0.191, 0.750, 0.026) [4 per cell]
S (0.032, 0.501, 0.240) [8 per cell]
S (0.242, 0.501, 0.032) [8 per cell]
I (0.007, 0.750, 0.494) [4 per cell]
Br (0.217, 0.750, 0.780) [4 per cell]
Br (0.231, 0.250, 0.771) [4 per cell]
Cl (0.005, 0.250, 0.998) [4 per cell]

Rb2Hg2PdBr4Cl4: simulated XRD peak list (Cu Kα, 1.54184 Å), based on a GGA-PBE-relaxed structure.
Neutral-atom scattering factors, no anomalous dispersion.

Peak list (12 most intense, 2θ from 10° to 90°, by intensity)
2θ = 28.78°, intensity 100.0, (1 1 -3); 2θ = 31.71°, intensity 98.0, (2 2 -2); 2θ = 18.39°, intensity 90.0, (1 1 1); 2θ = 37.27°, intensity 85.1, (2 2 2); 2θ = 15.37°, intensity 84.7, (2 0 -1); 2θ = 14.46°, intensity 78.8, (1 1 0); 2θ = 25.52°, intensity 78.2, (3 1 -1); 2θ = 26.90°, intensity 70.4, (2 0 -3); 2θ = 43.74°, intensity 59.6, (4 2 1); 2θ = 26.14°, intensity 54.5, (0 2 1); 2θ = 31.57°, intensity 53.7, (4 0 0); 2θ = 52.43°, intensity 47.7, (6 2 -2)

Structural model:
Lattice parameters (Å, degrees): 11.964 7.277 10.295 90.00 108.64 90.00
Space group C2/m (No. 12)
Asymmetric unit:
Rb (0.099, 0.000, 0.316) [4 per cell]
Hg (0.133, 0.500, 0.895) [4 per cell]
Pd (0.000, 0.500, 0.500) [2 per cell]
Br (0.134, 0.261, 0.636) [8 per cell]
Cl (0.076, 0.500, 0.184) [4 per cell]
Cl (0.160, 0.000, 0.002) [4 per cell]

Rb2Hg2PdBr6Cl2: simulated XRD peak list (Cu Kα, 1.54184 Å), based on a GGA-PBE-relaxed structure.
Neutral-atom scattering factors, no anomalous dispersion.

Peak list (12 most intense, 2θ from 10° to 90°, by intensity)
2θ = 31.27°, intensity 100.0, (4 0 0); 2θ = 28.42°, intensity 85.8, (1 1 -3); 2θ = 14.28°, intensity 80.7, (1 1 0); 2θ = 18.21°, intensity 51.5, (1 1 1); 2θ = 26.52°, intensity 50.9, (2 0 -3); 2θ = 36.88°, intensity 47.3, (2 2 2); 2θ = 25.77°, intensity 38.0, (0 2 1); 2θ = 15.16°, intensity 36.0, (2 0 -1); 2θ = 51.75°, intensity 35.6, (6 2 -2); 2θ = 25.20°, intensity 35.5, (3 1 -1); 2θ = 24.10°, intensity 34.9, (0 2 0); 2θ = 43.36°, intensity 31.4, (4 2 1)

Structural model:
Lattice parameters (Å, degrees): 12.094 7.386 10.419 90.00 109.16 90.00
Space group C2/m (No. 12)
Asymmetric unit:
Rb (0.103, 0.000, 0.324) [4 per cell]
Hg (0.135, 0.500, 0.896) [4 per cell]
Pd (0.000, 0.500, 0.500) [2 per cell]
Br (0.084, 0.500, 0.193) [4 per cell]
Br (0.133, 0.263, 0.636) [8 per cell]
Cl (0.158, 0.000, 0.004) [4 per cell]

Rb2Hg2PdBr6Cl2: simulated XRD peak list (Cu Kα, 1.54184 Å), based on a GGA-PBE-relaxed structure.
Neutral-atom scattering factors, no anomalous dispersion.

Peak list (12 most intense, 2θ from 10° to 90°, by intensity)
2θ = 28.15°, intensity 100.0, (1 1 -3); 2θ = 31.32°, intensity 82.1, (2 2 -2); 2θ = 15.17°, intensity 74.2, (2 0 -1); 2θ = 25.89°, intensity 56.5, (0 2 1); 2θ = 18.13°, intensity 55.5, (1 1 1); 2θ = 26.30°, intensity 53.9, (2 0 -3); 2θ = 31.22°, intensity 52.6, (4 0 0); 2θ = 36.74°, intensity 51.8, (2 2 2); 2θ = 43.27°, intensity 44.8, (4 2 1); 2θ = 14.34°, intensity 44.0, (1 1 0); 2θ = 51.86°, intensity 42.7, (6 2 -2); 2θ = 25.26°, intensity 42.5, (3 1 -1)

Structural model:
Lattice parameters (Å, degrees): 12.091 7.331 10.551 90.00 108.60 90.00
Space group C2/m (No. 12)
Asymmetric unit:
Rb (0.106, 0.000, 0.332) [4 per cell]
Hg (0.130, 0.500, 0.894) [4 per cell]
Pd (0.000, 0.500, 0.500) [2 per cell]
Br (0.131, 0.263, 0.635) [8 per cell]
Br (0.154, 0.000, 0.001) [4 per cell]
Cl (0.077, 0.500, 0.184) [4 per cell]

Rb2Hg2PdBr4Cl4: simulated XRD peak list (Cu Kα, 1.54184 Å), based on a GGA-PBE-relaxed structure.
Neutral-atom scattering factors, no anomalous dispersion.

Peak list (12 most intense, 2θ from 10° to 90°, by intensity)
2θ = 28.91°, intensity 100.0, (1 1 -3); 2θ = 25.15°, intensity 63.9, (0 2 0); 2θ = 14.79°, intensity 51.2, (1 1 0); 2θ = 32.27°, intensity 33.8, (2 2 -2); 2θ = 31.88°, intensity 32.8, (4 0 0); 2θ = 18.67°, intensity 32.6, (1 1 1); 2θ = 26.90°, intensity 31.9, (2 0 -3); 2θ = 46.70°, intensity 26.9, (1 3 -3); 2θ = 26.78°, intensity 25.4, (0 2 1); 2θ = 44.45°, intensity 24.8, (4 2 1); 2θ = 53.14°, intensity 23.2, (6 2 -2); 2θ = 25.85°, intensity 22.5, (3 1 -1)

Structural model:
Lattice parameters (Å, degrees): 11.863 7.083 10.303 90.00 108.82 90.00
Space group C2/m (No. 12)
Asymmetric unit:
Rb (0.111, 0.000, 0.347) [4 per cell]
Hg (0.131, 0.500, 0.892) [4 per cell]
Pd (0.000, 0.500, 0.500) [2 per cell]
Br (0.091, 0.500, 0.200) [4 per cell]
Br (0.148, 0.000, 0.001) [4 per cell]
Cl (0.128, 0.268, 0.630) [8 per cell]